Structure and computed XRD peak list of Li5Mn4O8 (the PBE+U geometry in Alexandria; Cu Kα, 1.54184 Å).

Main lines, in order of rising 2θ (2θ = 10–80°):
Position (°2θ)  I_rel  index
17.5  41  0 0 1
17.8  100  1 1 0
31.6  16  3 1 0
35.4  18  1 1 -2
35.7  22  0 2 1
36.0  20  4 0 -2
37.0  63  4 0 0
43.9  75  2 2 -2
58.3  26  2 2 2
59.1  31  6 2 -2

Cell and atoms:
```
data_Li5Mn4O8
_chemical_formula_sum 'Li10 Mn8 O16'
_symmetry_space_group_name_H-M 'C 1 2/m 1'
_symmetry_Int_Tables_number 12
_cell_length_a 11.2782
_cell_length_b 5.7993
_cell_length_c 5.8725
_cell_angle_alpha 90.00
_cell_angle_beta 120.41
_cell_angle_gamma 90.00
loop_
_symmetry_equiv_pos_as_xyz
'x,y,z'
'-x,-y,-z'
'-x,y,-z'
'x,-y,z'
'x+1/2,y+1/2,z'
'-x+1/2,-y+1/2,-z'
'-x+1/2,y+1/2,-z'
'x+1/2,-y+1/2,z'
loop_
_atom_site_label
_atom_site_fract_x
_atom_site_fract_y
_atom_site_fract_z
_atom_site_occupancy
Li1 0.0000 0.0000 0.0000 1
Li2 0.0827 0.0000 0.6862 1
Li3 0.2500 0.2500 0.0000 1
Mn1 0.0000 0.5000 0.0000 1
Mn2 0.0000 0.5000 0.5000 1
Mn3 0.2500 0.2500 0.5000 1
O1 0.0025 0.2594 0.2670 1
O2 0.2387 0.5000 0.2520 1
O3 0.2472 0.0000 0.2642 1
```